Theoretical powder diffractogram
Compound: RbErNpO6
Radiation: Cu Kα
Structure: a DFT-relaxed cell (PBE, Alexandria)

Largest 8 diffraction maxima, low angle first, 2θ from 5° to 70°:
| 2θ (°) | intensity | (hkl) |
| --- | --- | --- |
| 13.5 | 45 | 0 1 1 |
| 13.9 | 79 | 1 0 1 |
| 26.0 | 100 | 1 2 1 |
| 26.5 | 30 | 0 1 3 |
| 26.7 | 81 | 1 0 3 |
| 27.2 | 63 | 0 2 2 |
| 28.0 | 76 | 2 0 2 |
| 46.0 | 57 | 2 2 4 |

Structure:
```
data_RbErNpO6
_symmetry_space_group_name_H-M 'I m m a'
_symmetry_Int_Tables_number 74
_symmetry_space_group_name_Hall '-I 2b 2'
_cell_length_a 7.7802
_cell_length_b 8.1338
_cell_length_c 11.0699
_cell_angle_alpha 90.00
_cell_angle_beta 90.00
_cell_angle_gamma 90.00
loop_
_atom_site_label
_atom_site_fract_x
_atom_site_fract_y
_atom_site_fract_z
_atom_site_occupancy
Rb1 0.0000 0.2500 0.1025 1
Er1 0.2500 0.2500 0.7500 1
Np1 0.0000 0.0000 0.5000 1
O1 0.0000 0.2500 0.4449 1
O2 0.0000 0.2500 0.8358 1
O3 0.1782 0.0482 0.6195 1
```